Record 1
Starting from a structure optimized by DFT (PBE+U), the powder XRD pattern of MgV4O6F6 was simulated for a wavelength of 1.5418 Å.
Peak positions follow from Bragg's law for the DFT cell and can differ from measured ones.

Cell and atoms:
abc: 5.1183 5.1617 9.3967
angles: 75.55 77.12 62.44
Atoms (fractional coordinates):
Mg  0.0000  0.0000  0.0000
V  0.0948  0.0995  0.6756
V  0.3246  0.4033  0.9222
V  0.5637  0.6078  0.2058
V  0.8625  0.8557  0.4300
O  0.0943  0.7729  0.8281
O  0.1669  0.8387  0.3074
O  0.2713  0.1675  0.8377
O  0.3454  0.6037  0.0671
O  0.7499  0.6493  0.3250
O  0.8942  0.0838  0.5597
F  0.0764  0.4960  0.5668
F  0.4876  0.8860  0.5786
F  0.5750  0.2293  0.3219
F  0.6019  0.9904  0.0675
F  0.7223  0.3362  0.8221
F  0.9432  0.3578  0.0769

Main lines, low angle first (2θ from 10° to 90°):
2θ = 23.2°, d = 3.841 Å, rel. 1000; 2θ = 23.5°, d = 3.786 Å, rel. 916; 2θ = 24.6°, d = 3.624 Å, rel. 967; 2θ = 32.8°, d = 2.728 Å, rel. 445; 2θ = 33.7°, d = 2.662 Å, rel. 413; 2θ = 39.7°, d = 2.268 Å, rel. 258; 2θ = 47.3°, d = 1.921 Å, rel. 261; 2θ = 48.1°, d = 1.893 Å, rel. 244

Record 2
Starting from a structure optimized by DFT (PBE+U), the powder XRD pattern of Na3Mn2P2C2O14 was simulated for a wavelength of 1.5418 Å.
Peak positions follow from Bragg's law for the DFT cell and can differ from measured ones.

Cell and atoms:
abc: 8.3408 8.4294 10.3029
angles: 107.30 107.03 103.23
Atoms (fractional coordinates):
Na  0.0000  0.0000  0.0000
Na  0.0112  0.0210  0.5379
Na  0.2263  0.7384  0.9948
Na  0.4809  0.5408  0.5177
Na  0.7176  0.2775  0.0109
Na  0.7631  0.2631  0.5278
Mn  0.1967  0.4479  0.1141
Mn  0.3070  0.0612  0.4160
Mn  0.6917  0.9470  0.1171
Mn  0.8089  0.5653  0.4148
P  0.0518  0.3002  0.3355
P  0.4449  0.1956  0.1920
P  0.5478  0.8168  0.3406
P  0.9460  0.7117  0.1928
C  0.0243  0.2902  0.8475
C  0.4676  0.2342  0.6812
C  0.5295  0.7894  0.8506
C  0.9644  0.7240  0.6823
O  0.0138  0.7750  0.5877
O  0.0250  0.6099  0.0945
O  0.0404  0.8013  0.8195
O  0.0900  0.8567  0.3415
O  0.1558  0.2118  0.4275
O  0.1699  0.4304  0.9104
O  0.1843  0.4262  0.2990
O  0.3178  0.0592  0.2279
O  0.3244  0.0904  0.6193
O  0.3282  0.2596  0.0901
O  0.3973  0.6784  0.1955
O  0.4494  0.7076  0.7167
O  0.4773  0.9380  0.4397
O  0.4838  0.7468  0.9520
O  0.5077  0.2779  0.5767
O  0.5391  0.0949  0.1028
O  0.5547  0.3164  0.8144
O  0.5845  0.3457  0.3387
O  0.6489  0.7343  0.4354
O  0.6751  0.9338  0.9157
O  0.6853  0.9437  0.3046
O  0.8200  0.5813  0.2311
O  0.8211  0.5779  0.6147
O  0.8402  0.7993  0.1006
O  0.9076  0.1578  0.1842
O  0.9424  0.2076  0.7111
O  0.9640  0.3955  0.4287
O  0.9754  0.2451  0.9464

Main lines, low angle first (2θ from 10° to 90°):
2θ = 16.7°, d = 5.321 Å, rel. 1000; 2θ = 20.0°, d = 4.448 Å, rel. 398; 2θ = 25.6°, d = 3.477 Å, rel. 767; 2θ = 27.1°, d = 3.286 Å, rel. 928; 2θ = 33.7°, d = 2.660 Å, rel. 518; 2θ = 33.8°, d = 2.653 Å, rel. 399; 2θ = 34.5°, d = 2.602 Å, rel. 522; 2θ = 42.4°, d = 2.129 Å, rel. 317

Record 3
Starting from a structure optimized by DFT (PBE+U), the powder XRD pattern of MgCo6O9F3 was simulated for a wavelength of 1.5418 Å.
Peak positions follow from Bragg's law for the DFT cell and can differ from measured ones.

Cell and atoms:
abc: 5.7611 5.8004 6.7304
angles: 72.25 76.08 84.36
Atoms (fractional coordinates):
Mg  0.0000  0.0000  0.0000
Co  0.0067  0.4912  0.4946
Co  0.3201  0.8424  0.6513
Co  0.4194  0.7481  0.1613
Co  0.5905  0.2212  0.8237
Co  0.6332  0.1889  0.3333
Co  0.9809  0.5127  0.9931
O  0.0043  0.8139  0.7922
O  0.0720  0.6456  0.1900
O  0.2594  0.7002  0.4529
O  0.3654  0.9702  0.8823
O  0.6247  0.0319  0.1125
O  0.6252  0.8832  0.5230
O  0.6331  0.5002  0.1446
O  0.7260  0.3148  0.5341
O  0.9213  0.3587  0.8014
F  0.0125  0.1860  0.1916
F  0.2721  0.2032  0.4740
F  0.3670  0.4855  0.8510

Main lines, low angle first (2θ from 10° to 90°):
2θ = 22.9°, d = 3.877 Å, rel. 1000; 2θ = 29.1°, d = 3.068 Å, rel. 712; 2θ = 35.6°, d = 2.521 Å, rel. 257; 2θ = 35.9°, d = 2.502 Å, rel. 400; 2θ = 36.6°, d = 2.453 Å, rel. 334; 2θ = 37.0°, d = 2.433 Å, rel. 257; 2θ = 38.1°, d = 2.362 Å, rel. 179; 2θ = 65.5°, d = 1.426 Å, rel. 198

Record 4
Starting from a structure optimized by DFT (PBE+U), the powder XRD pattern of Li2Mn3CuO8 was simulated for a wavelength of 1.5418 Å.
Peak positions follow from Bragg's law for the DFT cell and can differ from measured ones.

Cell and atoms:
abc: 5.9272 5.9272 5.9272
angles: 58.98 58.98 58.98
Atoms (fractional coordinates):
Li  0.0000  0.0000  0.0000
Li  0.3775  0.3775  0.3775
Mn  0.3797  0.3797  0.8858
Mn  0.3797  0.8858  0.3797
Mn  0.8858  0.3797  0.3797
Cu  0.7644  0.7644  0.7644
O  0.1308  0.1308  0.5907
O  0.1308  0.5907  0.1308
O  0.1431  0.1431  0.1431
O  0.1698  0.6261  0.6261
O  0.5907  0.1308  0.1308
O  0.6196  0.6196  0.6196
O  0.6261  0.1698  0.6261
O  0.6261  0.6261  0.1698

Main lines, low angle first (2θ from 10° to 90°):
2θ = 18.2°, d = 4.877 Å, rel. 1000; 2θ = 21.4°, d = 4.158 Å, rel. 514; 2θ = 30.2°, d = 2.963 Å, rel. 536; 2θ = 35.9°, d = 2.504 Å, rel. 555; 2θ = 36.1°, d = 2.490 Å, rel. 905; 2θ = 43.5°, d = 2.079 Å, rel. 539; 2θ = 62.7°, d = 1.481 Å, rel. 385; 2θ = 63.8°, d = 1.459 Å, rel. 404

Record 5
Starting from a structure optimized by DFT (PBE+U), the powder XRD pattern of LiVF4 was simulated for a wavelength of 1.5418 Å.
Peak positions follow from Bragg's law for the DFT cell and can differ from measured ones.

Cell and atoms:
abc: 6.5213 6.8182 3.1185
angles: 90.00 90.00 90.00
Atoms (fractional coordinates):
Li  0.0000  0.0000  0.0000
Li  0.5000  0.5000  0.0000
V  0.0000  0.5000  0.5000
V  0.5000  0.0000  0.5000
F  0.0000  0.3106  0.0000
F  0.0000  0.6894  0.0000
F  0.2065  0.0000  0.5000
F  0.2935  0.5000  0.5000
F  0.5000  0.1894  0.0000
F  0.5000  0.8106  0.0000
F  0.7065  0.5000  0.5000
F  0.7935  0.0000  0.5000

Main lines, low angle first (2θ from 10° to 90°):
2θ = 18.8°, d = 4.713 Å, rel. 1000; 2θ = 26.1°, d = 3.409 Å, rel. 402; 2θ = 27.4°, d = 3.261 Å, rel. 301; 2θ = 39.1°, d = 2.301 Å, rel. 732; 2θ = 43.7°, d = 2.071 Å, rel. 314; 2θ = 51.7°, d = 1.768 Å, rel. 301; 2θ = 53.1°, d = 1.725 Å, rel. 208; 2θ = 66.7°, d = 1.403 Å, rel. 256

Record 6
Starting from a structure optimized by DFT (PBE+U), the powder XRD pattern of FeBO3 was simulated for a wavelength of 1.5418 Å.
Peak positions follow from Bragg's law for the DFT cell and can differ from measured ones.

Cell and atoms:
abc: 3.1494 10.3641 12.4270
angles: 90.00 97.54 90.00
Atoms (fractional coordinates):
Fe  0.2101  0.0916  0.4027
Fe  0.2101  0.4084  0.9027
Fe  0.2523  0.6431  0.4972
Fe  0.2523  0.8569  0.9972
Fe  0.7477  0.1431  0.0028
Fe  0.7477  0.3569  0.5028
Fe  0.7899  0.5916  0.0973
Fe  0.7899  0.9084  0.5973
B  0.1206  0.0466  0.7988
B  0.1206  0.4534  0.2988
B  0.2799  0.1674  0.6377
B  0.2799  0.3326  0.1377
B  0.7201  0.6674  0.8623
B  0.7201  0.8326  0.3623
B  0.8794  0.5466  0.7012
B  0.8794  0.9534  0.2013
O  0.1012  0.0490  0.2527
O  0.1012  0.4510  0.7527
O  0.2127  0.0456  0.9154
O  0.2127  0.4544  0.4154
O  0.2405  0.1580  0.7464
O  0.2405  0.3420  0.2464
O  0.2818  0.7042  0.0828
O  0.2818  0.7958  0.5828
O  0.2865  0.0576  0.5737
O  0.2865  0.4424  0.0737
O  0.3005  0.2110  0.0903
O  0.3005  0.2890  0.5903
O  0.6995  0.7110  0.4097
O  0.6995  0.7890  0.9097
O  0.7135  0.5576  0.9263
O  0.7135  0.9424  0.4263
O  0.7182  0.2042  0.4172
O  0.7182  0.2958  0.9172
O  0.7595  0.6580  0.7536
O  0.7595  0.8420  0.2536
O  0.7873  0.5456  0.5846
O  0.7873  0.9544  0.0846
O  0.8988  0.5490  0.2473
O  0.8988  0.9510  0.7473

Main lines, low angle first (2θ from 10° to 90°):
2θ = 14.4°, d = 6.160 Å, rel. 1000; 2θ = 23.3°, d = 3.818 Å, rel. 255; 2θ = 27.7°, d = 3.218 Å, rel. 274; 2θ = 29.6°, d = 3.013 Å, rel. 250; 2θ = 33.5°, d = 2.676 Å, rel. 581; 2θ = 35.0°, d = 2.563 Å, rel. 372; 2θ = 35.1°, d = 2.555 Å, rel. 299; 2θ = 37.5°, d = 2.397 Å, rel. 292

Record 7
Starting from a structure optimized by DFT (PBE+U), the powder XRD pattern of Li2Ni3P4O14 was simulated for a wavelength of 1.5418 Å.
Peak positions follow from Bragg's law for the DFT cell and can differ from measured ones.

Cell and atoms:
abc: 5.2561 6.4005 15.8933
angles: 81.42 81.99 72.21
Atoms (fractional coordinates):
Li  0.0747  0.2120  0.4875
Li  0.3554  0.6846  0.6239
Li  0.6446  0.3154  0.3761
Li  0.9253  0.7880  0.5125
Ni  0.0533  0.6383  0.3128
Ni  0.2026  0.2793  0.0927
Ni  0.2274  0.9589  0.8339
Ni  0.7726  0.0411  0.1661
Ni  0.7974  0.7207  0.9073
Ni  0.9467  0.3617  0.6872
P  0.1849  0.1093  0.2913
P  0.2987  0.7818  0.0424
P  0.3526  0.4255  0.8199
P  0.4526  0.7617  0.4272
P  0.5474  0.2383  0.5728
P  0.6474  0.5745  0.1801
P  0.7013  0.2182  0.9576
P  0.8151  0.8907  0.7087
O  0.0094  0.0243  0.7146
O  0.0318  0.3148  0.3375
O  0.1211  0.9859  0.0853
O  0.1625  0.6546  0.8387
O  0.1691  0.5979  0.0518
O  0.2020  0.2860  0.7868
O  0.2418  0.3152  0.5715
O  0.2887  0.8556  0.5084
O  0.3420  0.5877  0.4010
O  0.3586  0.1474  0.2083
O  0.3998  0.5511  0.2355
O  0.4078  0.8462  0.9502
O  0.4088  0.9724  0.3542
O  0.4261  0.2984  0.9121
O  0.5739  0.7016  0.0879
O  0.5912  0.0276  0.6458
O  0.5922  0.1538  0.0498
O  0.6002  0.4489  0.7645
O  0.6414  0.8526  0.7917
O  0.6580  0.4123  0.5990
O  0.7113  0.1444  0.4916
O  0.7582  0.6848  0.4285
O  0.7980  0.7140  0.2132
O  0.8309  0.4021  0.9482
O  0.8375  0.3454  0.1613
O  0.8789  0.0141  0.9147
O  0.9682  0.6852  0.6625
O  0.9906  0.9757  0.2854

Main lines, low angle first (2θ from 10° to 90°):
2θ = 17.5°, d = 5.073 Å, rel. 389; 2θ = 19.5°, d = 4.545 Å, rel. 332; 2θ = 22.1°, d = 4.023 Å, rel. 421; 2θ = 27.6°, d = 3.236 Å, rel. 717; 2θ = 30.0°, d = 2.981 Å, rel. 1000; 2θ = 30.4°, d = 2.936 Å, rel. 644; 2θ = 31.5°, d = 2.838 Å, rel. 383; 2θ = 32.2°, d = 2.776 Å, rel. 718